For SmLuZn2, the GGA-PBE geometry in the Materials Project gives the calculated powder diffraction line list in this record (CuKα).

Atomic structure:
```
data_SmLuZn2
_cell_length_a 7.1583
_cell_length_b 7.1583
_cell_length_c 7.1583
_cell_angle_alpha 90.00
_cell_angle_beta 90.00
_cell_angle_gamma 90.00
_symmetry_space_group_name_H-M 'F m -3 m'
_symmetry_Int_Tables_number 225
_symmetry_space_group_name_Hall '-F 4 2 3'
loop_
_atom_site_label
_atom_site_type_symbol
_atom_site_fract_x
_atom_site_fract_y
_atom_site_fract_z
Sm1 Sm 0.0000 0.0000 0.0000
Lu1 Lu 0.0000 0.0000 0.5000
Zn1 Zn 0.2500 0.2500 0.2500
```

The 10 most intense peaks (2θ from 15° to 90°), most intense first:
hkl 2 2 0, 35.47°, I 100
hkl 4 2 2, 63.69°, I 36
hkl 2 0 0, 24.88°, I 18
hkl 4 0 0, 51.03°, I 18
hkl 6 2 0, 85.86°, I 16
hkl 4 4 0, 75.07°, I 11
hkl 4 2 0, 57.58°, I 8
hkl 2 2 2, 43.81°, I 6
hkl 6 0 0, 80.51°, I 4
hkl 1 1 1, 21.50°, I 1

=====

For Lu5Sn3, the GGA-PBE geometry in the Materials Project gives the calculated powder diffraction line list in this record (CuKα).

Atomic structure:
```
data_Lu5Sn3
_cell_length_a 8.7887
_cell_length_b 8.7887
_cell_length_c 6.3955
_cell_angle_alpha 90.00
_cell_angle_beta 90.00
_cell_angle_gamma 120.00
_symmetry_space_group_name_H-M 'P 63/m c m'
_symmetry_Int_Tables_number 193
_symmetry_space_group_name_Hall '-P 6c 2'
loop_
_atom_site_label
_atom_site_type_symbol
_atom_site_fract_x
_atom_site_fract_y
_atom_site_fract_z
Lu1 Lu 0.0000 0.2394 0.2500
Lu2 Lu 0.3333 0.6667 0.0000
Sn1 Sn 0.0000 0.3936 0.7500
```

The 12 most intense peaks (2θ from 15° to 90°), most intense first:
hkl 2 1 1, 34.18°, I 100
hkl 1 1 2, 34.69°, I 77
hkl 3 0 0, 35.38°, I 39
hkl 2 1 0, 31.09°, I 35
hkl 2 1 3, 53.50°, I 28
hkl 1 0 2, 30.32°, I 23
hkl 2 2 2, 50.39°, I 21
hkl 5 0 2, 68.23°, I 17
hkl 4 0 2, 56.26°, I 15
hkl 0 0 2, 27.90°, I 15
hkl 4 1 0, 55.31°, I 12
hkl 3 0 4, 69.49°, I 11

=====

For Sr3Lu, the GGA-PBE geometry in the Materials Project gives the calculated powder diffraction line list in this record (CuKα).

Atomic structure:
```
data_Sr3Lu
_cell_length_a 5.6911
_cell_length_b 5.6911
_cell_length_c 11.4888
_cell_angle_alpha 90.00
_cell_angle_beta 90.00
_cell_angle_gamma 90.00
_symmetry_space_group_name_H-M 'I 4/m m m'
_symmetry_Int_Tables_number 139
_symmetry_space_group_name_Hall '-I 4 2'
loop_
_atom_site_label
_atom_site_type_symbol
_atom_site_fract_x
_atom_site_fract_y
_atom_site_fract_z
Sr1 Sr 0.0000 0.0000 0.0000
Sr2 Sr 0.0000 0.5000 0.2500
Lu1 Lu 0.0000 0.0000 0.5000
```

The 12 most intense peaks (2θ from 15° to 90°), most intense first:
hkl 1 1 2, 27.05°, I 100
hkl 2 0 0, 31.44°, I 34
hkl 3 1 2, 53.35°, I 30
hkl 2 0 4, 44.84°, I 25
hkl 0 0 4, 31.14°, I 17
hkl 1 1 6, 52.96°, I 15
hkl 2 2 4, 55.78°, I 13
hkl 2 2 0, 45.06°, I 12
hkl 3 1 6, 72.01°, I 12
hkl 1 0 1, 17.39°, I 10
hkl 4 2 4, 83.00°, I 9
hkl 5 1 2, 89.44°, I 7

=====

For LuTa3, the GGA-PBE geometry in the Materials Project gives the calculated powder diffraction line list in this record (CuKα).

Atomic structure:
```
data_LuTa3
_cell_length_a 6.2393
_cell_length_b 6.2393
_cell_length_c 4.9914
_cell_angle_alpha 90.00
_cell_angle_beta 90.00
_cell_angle_gamma 120.00
_symmetry_space_group_name_H-M 'P 63/m m c'
_symmetry_Int_Tables_number 194
_symmetry_space_group_name_Hall '-P 6c 2c'
loop_
_atom_site_label
_atom_site_type_symbol
_atom_site_fract_x
_atom_site_fract_y
_atom_site_fract_z
Lu1 Lu 0.3333 0.6667 0.2500
Ta1 Ta 0.1495 0.2990 0.7500
```

The 12 most intense peaks (2θ from 15° to 90°), most intense first:
hkl 2 0 1, 37.87°, I 100
hkl 0 0 2, 35.99°, I 27
hkl 2 0 0, 33.16°, I 24
hkl 2 0 3, 65.93°, I 20
hkl 2 2 2, 71.30°, I 18
hkl 2 2 0, 59.24°, I 16
hkl 2 0 2, 49.74°, I 15
hkl 4 0 1, 72.49°, I 12
hkl 1 0 0, 16.41°, I 5
hkl 3 0 1, 54.13°, I 5
hkl 3 2 2, 87.96°, I 3
hkl 2 0 4, 85.77°, I 3

=====

For TbLu, the GGA-PBE geometry in the Materials Project gives the calculated powder diffraction line list in this record (CuKα).

Atomic structure:
```
data_TbLu
_cell_length_a 3.5621
_cell_length_b 3.5621
_cell_length_c 5.6678
_cell_angle_alpha 90.00
_cell_angle_beta 90.00
_cell_angle_gamma 120.00
_symmetry_space_group_name_H-M 'P -6 m 2'
_symmetry_Int_Tables_number 187
_symmetry_space_group_name_Hall 'P -6 2'
loop_
_atom_site_label
_atom_site_type_symbol
_atom_site_fract_x
_atom_site_fract_y
_atom_site_fract_z
Tb1 Tb 0.0000 0.0000 0.0000
Lu1 Lu 0.3333 0.6667 0.5000
```

The 12 most intense peaks (2θ from 15° to 90°), most intense first:
hkl 1 0 1, 33.06°, I 100
hkl 0 0 2, 31.57°, I 25
hkl 1 0 0, 28.94°, I 24
hkl 1 1 2, 61.49°, I 23
hkl 1 0 3, 57.17°, I 21
hkl 1 1 0, 51.30°, I 19
hkl 2 0 1, 62.39°, I 16
hkl 1 0 2, 43.36°, I 16
hkl 2 1 1, 84.91°, I 14
hkl 1 1 4, 88.09°, I 9
hkl 2 0 3, 80.37°, I 8
hkl 2 0 2, 69.37°, I 4

=====

For LuTc2, the GGA-PBE geometry in the Materials Project gives the calculated powder diffraction line list in this record (CuKα).

Atomic structure:
```
data_LuTc2
_cell_length_a 5.3285
_cell_length_b 5.3285
_cell_length_c 8.8117
_cell_angle_alpha 90.00
_cell_angle_beta 90.00
_cell_angle_gamma 120.00
_symmetry_space_group_name_H-M 'P 63/m m c'
_symmetry_Int_Tables_number 194
_symmetry_space_group_name_Hall '-P 6c 2c'
loop_
_atom_site_label
_atom_site_type_symbol
_atom_site_fract_x
_atom_site_fract_y
_atom_site_fract_z
Lu1 Lu 0.3333 0.6667 0.0637
Tc1 Tc 0.0000 0.0000 0.0000
Tc2 Tc 0.1721 0.3442 0.7500
```

The 12 most intense peaks (2θ from 15° to 90°), most intense first:
hkl 1 1 2, 39.53°, I 100
hkl 1 0 3, 36.25°, I 91
hkl 2 0 1, 40.41°, I 68
hkl 1 1 0, 33.64°, I 48
hkl 2 0 5, 66.80°, I 35
hkl 2 1 3, 61.87°, I 34
hkl 2 2 0, 70.72°, I 25
hkl 3 0 2, 64.13°, I 24
hkl 3 1 3, 82.15°, I 17
hkl 2 0 6, 76.94°, I 16
hkl 2 0 0, 39.04°, I 13
hkl 0 0 4, 40.97°, I 12

=====

For LuUTc2, the GGA-PBE geometry in the Materials Project gives the calculated powder diffraction line list in this record (CuKα).

Atomic structure:
```
data_LuUTc2
_cell_length_a 6.7305
_cell_length_b 6.7305
_cell_length_c 6.7305
_cell_angle_alpha 90.00
_cell_angle_beta 90.00
_cell_angle_gamma 90.00
_symmetry_space_group_name_H-M 'F m -3 m'
_symmetry_Int_Tables_number 225
_symmetry_space_group_name_Hall '-F 4 2 3'
loop_
_atom_site_label
_atom_site_type_symbol
_atom_site_fract_x
_atom_site_fract_y
_atom_site_fract_z
Lu1 Lu 0.0000 0.0000 0.0000
U1 U 0.0000 0.0000 0.5000
Tc1 Tc 0.2500 0.2500 0.2500
```

The 10 most intense peaks (2θ from 15° to 90°), most intense first:
hkl 2 2 0, 37.81°, I 100
hkl 4 2 2, 68.27°, I 36
hkl 4 0 0, 54.54°, I 17
hkl 2 0 0, 26.49°, I 13
hkl 4 4 0, 80.77°, I 11
hkl 4 2 0, 61.63°, I 6
hkl 2 2 2, 46.75°, I 4
hkl 6 0 0, 86.82°, I 3
hkl 1 1 1, 22.89°, I 2
hkl 3 1 1, 44.65°, I 1

=====

For Lu2ZnTc, the GGA-PBE geometry in the Materials Project gives the calculated powder diffraction line list in this record (CuKα).

Atomic structure:
```
data_Lu2ZnTc
_cell_length_a 6.8347
_cell_length_b 6.8347
_cell_length_c 6.8347
_cell_angle_alpha 90.00
_cell_angle_beta 90.00
_cell_angle_gamma 90.00
_symmetry_space_group_name_H-M 'F m -3 m'
_symmetry_Int_Tables_number 225
_symmetry_space_group_name_Hall '-F 4 2 3'
loop_
_atom_site_label
_atom_site_type_symbol
_atom_site_fract_x
_atom_site_fract_y
_atom_site_fract_z
Lu1 Lu 0.2500 0.2500 0.2500
Zn1 Zn 0.0000 0.0000 0.0000
Tc1 Tc 0.0000 0.0000 0.5000
```

The 9 most intense peaks (2θ from 15° to 90°), most intense first:
hkl 2 2 0, 37.21°, I 100
hkl 4 2 2, 67.09°, I 35
hkl 4 0 0, 53.64°, I 17
hkl 2 0 0, 26.08°, I 14
hkl 4 4 0, 79.30°, I 11
hkl 4 2 0, 60.59°, I 6
hkl 2 2 2, 46.00°, I 4
hkl 6 0 0, 85.18°, I 3
hkl 1 1 1, 22.53°, I 1

=====

For LuTe3, the GGA-PBE geometry in the Materials Project gives the calculated powder diffraction line list in this record (CuKα).

Atomic structure:
```
data_LuTe3
_cell_length_a 4.3145
_cell_length_b 25.6381
_cell_length_c 4.3230
_cell_angle_alpha 90.00
_cell_angle_beta 90.00
_cell_angle_gamma 90.00
_symmetry_space_group_name_H-M 'C m c m'
_symmetry_Int_Tables_number 63
_symmetry_space_group_name_Hall '-C 2c 2'
loop_
_atom_site_label
_atom_site_type_symbol
_atom_site_fract_x
_atom_site_fract_y
_atom_site_fract_z
Lu1 Lu 0.0000 0.1703 0.2500
Te1 Te 0.0000 0.0755 0.7500
Te2 Te 0.0000 0.2930 0.2500
Te3 Te 0.0000 0.4244 0.7500
```

The 12 most intense peaks (2θ from 15° to 90°), most intense first:
hkl 1 3 1, 31.10°, I 100
hkl 2 0 0, 41.83°, I 56
hkl 1 5 1, 34.17°, I 54
hkl 0 8 0, 27.84°, I 41
hkl 1 1 1, 29.44°, I 29
hkl 1 7 1, 38.38°, I 29
hkl 2 0 2, 60.65°, I 19
hkl 0 8 1, 34.85°, I 17
hkl 0 8 2, 50.96°, I 16
hkl 1 9 0, 37.85°, I 16
hkl 2 8 0, 51.03°, I 15
hkl 2 8 2, 68.01°, I 13

=====

For Lu7Te, the GGA-PBE geometry in the Materials Project gives the calculated powder diffraction line list in this record (CuKα).

Atomic structure:
```
data_Lu7Te
_cell_length_a 3.7423
_cell_length_b 12.2725
_cell_length_c 19.9748
_cell_angle_alpha 90.00
_cell_angle_beta 90.00
_cell_angle_gamma 90.00
_symmetry_space_group_name_H-M 'C m c m'
_symmetry_Int_Tables_number 63
_symmetry_space_group_name_Hall '-C 2c 2'
loop_
_atom_site_label
_atom_site_type_symbol
_atom_site_fract_x
_atom_site_fract_y
_atom_site_fract_z
Lu1 Lu 0.0000 0.0199 0.1092
Lu2 Lu 0.0000 0.2450 0.6445
Lu3 Lu 0.0000 0.3576 0.0125
Lu4 Lu 0.0000 0.4373 0.2500
Te1 Te 0.0000 0.1486 0.2500
```

The 12 most intense peaks (2θ from 15° to 90°), most intense first:
hkl 1 1 5, 33.64°, I 100
hkl 1 1 4, 30.73°, I 72
hkl 0 4 4, 34.30°, I 68
hkl 1 3 1, 32.74°, I 51
hkl 0 2 6, 30.54°, I 37
hkl 0 0 8, 35.97°, I 32
hkl 2 4 4, 60.88°, I 26
hkl 2 0 0, 48.66°, I 24
hkl 1 3 10, 56.89°, I 19
hkl 0 4 3, 32.12°, I 16
hkl 1 3 9, 52.93°, I 16
hkl 1 1 6, 36.89°, I 14

=====

For LuTe3, the GGA-PBE geometry in the Materials Project gives the calculated powder diffraction line list in this record (CuKα).

Atomic structure:
```
data_LuTe3
_cell_length_a 3.9185
_cell_length_b 27.8470
_cell_length_c 4.6463
_cell_angle_alpha 90.00
_cell_angle_beta 90.00
_cell_angle_gamma 90.00
_symmetry_space_group_name_H-M 'C m c m'
_symmetry_Int_Tables_number 63
_symmetry_space_group_name_Hall '-C 2c 2'
loop_
_atom_site_label
_atom_site_type_symbol
_atom_site_fract_x
_atom_site_fract_y
_atom_site_fract_z
Lu1 Lu 0.0000 0.0494 0.2500
Te1 Te 0.0000 0.1620 0.2500
Te2 Te 0.0000 0.3150 0.2500
Te3 Te 0.0000 0.4494 0.2500
```

The 12 most intense peaks (2θ from 15° to 90°), most intense first:
hkl 1 7 1, 37.59°, I 100
hkl 1 1 1, 30.00°, I 86
hkl 0 8 0, 25.59°, I 53
hkl 1 3 1, 31.38°, I 35
hkl 0 0 2, 38.76°, I 34
hkl 0 8 2, 47.02°, I 29
hkl 0 10 0, 32.13°, I 29
hkl 2 0 0, 46.34°, I 20
hkl 1 15 1, 58.49°, I 18
hkl 2 0 2, 61.96°, I 17
hkl 1 1 3, 64.84°, I 16
hkl 1 7 3, 69.39°, I 16

=====

For LuTe2, the GGA-PBE geometry in the Materials Project gives the calculated powder diffraction line list in this record (CuKα).

Atomic structure:
```
data_LuTe2
_cell_length_a 4.4159
_cell_length_b 4.4159
_cell_length_c 8.7155
_cell_angle_alpha 90.00
_cell_angle_beta 90.00
_cell_angle_gamma 90.00
_symmetry_space_group_name_H-M 'P 4/n m m'
_symmetry_Int_Tables_number 129
loop_
_symmetry_equiv_pos_as_xyz
'x,y,z'
'-x,-y,-z'
'-y+1/2,x,z'
'y+1/2,-x,-z'
'-x+1/2,-y+1/2,z'
'x+1/2,y+1/2,-z'
'y,-x+1/2,z'
'-y,x+1/2,-z'
'x+1/2,-y,-z'
'-x+1/2,y,z'
'-y,-x,-z'
'y,x,z'
'-x,y+1/2,-z'
'x,-y+1/2,z'
'y+1/2,x+1/2,-z'
'-y+1/2,-x+1/2,z'
loop_
_atom_site_label
_atom_site_type_symbol
_atom_site_fract_x
_atom_site_fract_y
_atom_site_fract_z
Lu1 Lu 0.2500 0.2500 0.2292
Te1 Te 0.2500 0.2500 0.8724
Te2 Te 0.2500 0.7500 0.5000
```

The 12 most intense peaks (2θ from 15° to 90°), most intense first:
hkl 1 1 2, 35.36°, I 100
hkl 1 1 1, 30.41°, I 93
hkl 2 0 0, 40.87°, I 68
hkl 1 0 3, 37.04°, I 60
hkl 2 1 3, 56.33°, I 36
hkl 0 0 3, 30.78°, I 33
hkl 2 0 3, 52.02°, I 30
hkl 1 1 0, 28.59°, I 30
hkl 1 0 6, 67.97°, I 28
hkl 3 1 2, 70.86°, I 26
hkl 1 0 1, 22.57°, I 24
hkl 2 2 0, 59.18°, I 23